Record 1
Starting from a DFT-relaxed cell (GGA-PBE, Alexandria), the powder XRD pattern of SrPd4Au6 was calculated for CuKα.
No peak broadening, texture or thermal motion is included.

Cell and atoms:
Cell lengths 6.756, 6.756, 10.219 Å; angles 90.00, 90.00, 90.00 degrees
Space group I-42m (No. 121)
Inequivalent atoms, fractional coordinates:
Sr 0.000 0.000 0.000 [2 per cell]
Pd 0.153 0.153 0.410 [8 per cell]
Au 0.000 0.500 0.000 [4 per cell]
Au 0.222 0.222 0.681 [8 per cell]

Main lines, most intense first (10° ≤ 2θ ≤ 90°):
two_theta, Rel. int., hkl
31.8, 100, 2 0 2
40.0, 75, 1 1 4
37.7, 60, 2 2 0
46.0, 44, 3 1 2
25.5, 36, 1 1 2
64.3, 27, 4 2 2

Record 2
Starting from a DFT-relaxed cell (GGA-PBE, Alexandria), the powder XRD pattern of Sr2Pd5Au5 was calculated for CuKα.
No peak broadening, texture or thermal motion is included.

Cell and atoms:
Cell lengths 4.523, 5.593, 9.744 Å; angles 90.00, 90.00, 90.00 degrees
Space group Pmmm (No. 47)
Inequivalent atoms, fractional coordinates:
Sr 0.000 0.000 0.000 [1 per cell]
Sr 0.000 0.500 0.500 [1 per cell]
Pd 0.500 0.000 0.500 [1 per cell]
Pd 0.500 0.249 0.251 [4 per cell]
Au 0.000 0.000 0.333 [2 per cell]
Au 0.000 0.500 0.174 [2 per cell]
Au 0.500 0.500 0.000 [1 per cell]

Main lines, most intense first (10° ≤ 2θ ≤ 90°):
two_theta, Rel. int., hkl
37.7, 100, 1 1 3
18.3, 61, 0 1 1
42.3, 44, 1 2 2
39.9, 39, 2 0 0
37.8, 37, 1 2 0
60.8, 25, 1 3 3

Record 3
Starting from a DFT-relaxed cell (GGA-PBE, Alexandria), the powder XRD pattern of SrThPdAu was calculated for CuKα.
No peak broadening, texture or thermal motion is included.

Cell and atoms:
Cell lengths 7.419, 7.419, 7.419 Å; angles 90.00, 90.00, 90.00 degrees
Space group F-43m (No. 216)
Inequivalent atoms, fractional coordinates:
Sr 0.000 0.000 0.000 [4 per cell]
Th 0.000 0.000 0.500 [4 per cell]
Pd 0.250 0.250 0.750 [4 per cell]
Au 0.250 0.250 0.250 [4 per cell]

Main lines, most intense first (10° ≤ 2θ ≤ 90°):
two_theta, Rel. int., hkl
34.2, 100, 2 2 0
61.2, 38, 4 2 2
49.1, 18, 4 0 0
82.2, 17, 6 2 0
20.7, 15, 1 1 1
72.0, 12, 4 4 0

Record 4
Starting from a DFT-relaxed cell (GGA-PBE, Alexandria), the powder XRD pattern of Sr2TlPd5Au2 was calculated for CuKα.
No peak broadening, texture or thermal motion is included.

Cell and atoms:
Cell lengths 10.041, 10.041, 4.134 Å; angles 90.00, 90.00, 90.00 degrees
Space group P4/mbm (No. 127)
Inequivalent atoms, fractional coordinates:
Sr 0.173 0.327 0.000 [4 per cell]
Tl 0.000 0.000 0.000 [2 per cell]
Pd 0.000 0.500 0.500 [2 per cell]
Pd 0.062 0.800 0.500 [8 per cell]
Au 0.125 0.625 0.000 [4 per cell]

Main lines, most intense first (10° ≤ 2θ ≤ 90°):
two_theta, Rel. int., hkl
35.7, 100, 3 1 1
39.0, 38, 3 2 1
19.8, 25, 2 1 0
43.8, 23, 0 0 2
33.3, 18, 2 2 1
36.9, 16, 4 1 0

Record 5
Starting from a DFT-relaxed cell (GGA-PBE, Alexandria), the powder XRD pattern of Sr2Zn3PdAu4 was calculated for CuKα.
No peak broadening, texture or thermal motion is included.

Cell and atoms:
Cell lengths 4.479, 4.479, 10.943 Å; angles 90.00, 90.00, 90.00 degrees
Space group P-4m2 (No. 115)
Inequivalent atoms, fractional coordinates:
Sr 0.000 0.500 0.246 [2 per cell]
Zn 0.000 0.000 0.000 [1 per cell]
Zn 0.000 0.500 0.625 [2 per cell]
Pd 0.500 0.500 0.000 [1 per cell]
Au 0.000 0.000 0.500 [1 per cell]
Au 0.000 0.500 0.857 [2 per cell]
Au 0.500 0.500 0.500 [1 per cell]

Main lines, most intense first (10° ≤ 2θ ≤ 90°):
two_theta, Rel. int., hkl
32.7, 100, 1 1 2
40.3, 65, 2 0 0
43.7, 56, 1 1 4
31.6, 30, 1 0 3
46.1, 29, 1 0 5
68.4, 24, 3 1 2

Record 6
Starting from a DFT-relaxed cell (GGA-PBE, Alexandria), the powder XRD pattern of Ta2Pd5Au was calculated for CuKα.
No peak broadening, texture or thermal motion is included.

Cell and atoms:
Cell lengths 2.772, 18.184, 11.019 Å; angles 90.00, 90.00, 90.00 degrees
Space group Cmcm (No. 63)
Inequivalent atoms, fractional coordinates:
Ta 0.000 0.124 0.005 [8 per cell]
Pd 0.000 0.000 0.124 [8 per cell]
Pd 0.000 0.135 0.250 [4 per cell]
Pd 0.000 0.260 0.613 [8 per cell]
Au 0.000 0.133 0.750 [4 per cell]

Main lines, most intense first (10° ≤ 2θ ≤ 90°):
two_theta, Rel. int., hkl
38.2, 100, 0 4 4
32.7, 58, 1 1 0
49.0, 48, 1 3 4
39.7, 43, 0 8 0
48.0, 31, 1 7 0
80.4, 23, 2 4 4

Record 7
Starting from a DFT-relaxed cell (GGA-PBE, Alexandria), the powder XRD pattern of Ta2Pd7Au2 was calculated for CuKα.
No peak broadening, texture or thermal motion is included.

Cell and atoms:
Cell lengths 7.196, 8.063, 7.340 Å; angles 90.00, 90.00, 90.00 degrees
Space group Cmmm (No. 65)
Inequivalent atoms, fractional coordinates:
Ta 0.200 0.000 0.000 [4 per cell]
Pd 0.000 0.000 0.500 [2 per cell]
Pd 0.000 0.500 0.191 [4 per cell]
Pd 0.250 0.250 0.223 [8 per cell]
Au 0.000 0.325 0.500 [4 per cell]

Main lines, most intense first (10° ≤ 2θ ≤ 90°):
two_theta, Rel. int., hkl
41.7, 100, 2 2 2
27.6, 96, 2 0 1
43.6, 54, 1 3 2
25.2, 46, 0 2 1
52.6, 40, 3 3 1
37.8, 30, 1 3 1

Record 8
Starting from a DFT-relaxed cell (GGA-PBE, Alexandria), the powder XRD pattern of TaPd3Au3 was calculated for CuKα.
No peak broadening, texture or thermal motion is included.

Cell and atoms:
Cell lengths 7.694, 8.307, 7.915 Å; angles 90.00, 90.00, 90.00 degrees
Space group Cmmm (No. 65)
Inequivalent atoms, fractional coordinates:
Ta 0.000 0.217 0.000 [4 per cell]
Pd 0.000 0.000 0.238 [4 per cell]
Pd 0.250 0.250 0.237 [8 per cell]
Au 0.000 0.257 0.500 [4 per cell]
Au 0.187 0.500 0.000 [4 per cell]
Au 0.247 0.500 0.500 [4 per cell]

Main lines, most intense first (10° ≤ 2θ ≤ 90°):
two_theta, Rel. int., hkl
39.2, 100, 2 2 2
22.5, 20, 0 0 2
43.6, 19, 0 4 0
45.9, 18, 0 0 4
80.3, 12, 2 2 6
31.7, 12, 2 2 0